No. 1
The following is a calculated powder diffractogram of Ni6BP. It was derived from a DFT-relaxed cell (PBE, Alexandria), using Cu Ka.
Peak positions follow from Bragg's law for the DFT cell and can differ from measured ones.

Peak list (10 most intense, 2θ from 10° to 90°, low angle first)
| Position (°2θ) | intensity |
| --- | --- |
| 35.37 | 7.7 |
| 36.35 | 16.3 |
| 42.43 | 100.0 |
| 43.05 | 20.2 |
| 44.71 | 7.0 |
| 57.58 | 18.6 |
| 65.40 | 14.8 |
| 78.48 | 13.8 |
| 81.11 | 7.8 |
| 81.54 | 9.0 |

Structural model:
Unit cell a=5.0798 b=5.0798 c=5.0798 alpha=58.23 beta=58.23 gamma=58.23
Positions (direct):
Ni 0.0289 0.7767 0.4367
Ni 0.2233 0.5633 0.9711
Ni 0.4367 0.0289 0.7767
Ni 0.5633 0.9711 0.2233
Ni 0.7767 0.4367 0.0289
Ni 0.9711 0.2233 0.5633
B 0.0000 0.0000 0.0000
P 0.5000 0.5000 0.5000


No. 2
The following is a calculated powder diffractogram of Nd2BiN. It was derived from a DFT-relaxed cell (PBE, Alexandria), using Cu Ka.
Peak positions follow from Bragg's law for the DFT cell and can differ from measured ones.

Peak list (10 most intense, 2θ from 10° to 90°, low angle first)
| Position (°2θ) | intensity |
| --- | --- |
| 26.57 | 28.7 |
| 28.24 | 72.9 |
| 28.45 | 54.5 |
| 32.78 | 100.0 |
| 37.92 | 60.4 |
| 48.08 | 52.4 |
| 56.01 | 32.7 |
| 62.81 | 23.7 |
| 65.27 | 28.3 |
| 87.97 | 23.2 |

Structural model:
Unit cell a=4.7449 b=4.7449 c=9.4132 alpha=90.00 beta=90.00 gamma=90.00
Positions (direct):
Nd 0.2500 0.2500 0.1768
Nd 0.2500 0.7500 0.5000
Nd 0.7500 0.2500 0.5000
Nd 0.7500 0.7500 0.8232
Bi 0.2500 0.2500 0.8069
Bi 0.7500 0.7500 0.1931
N 0.2500 0.2500 0.4189
N 0.7500 0.7500 0.5811


No. 3
The following is a calculated powder diffractogram of K2TiTe3O12. It was derived from a DFT-relaxed cell (PBE, Alexandria), using Cu Ka.
Peak positions follow from Bragg's law for the DFT cell and can differ from measured ones.

Peak list (10 most intense, 2θ from 10° to 90°, low angle first)
| Position (°2θ) | intensity |
| --- | --- |
| 14.97 | 49.8 |
| 15.10 | 54.4 |
| 28.90 | 100.0 |
| 29.08 | 17.8 |
| 30.20 | 56.9 |
| 30.48 | 19.0 |
| 46.03 | 19.0 |
| 50.29 | 25.8 |
| 50.66 | 24.9 |
| 59.95 | 17.2 |

Structural model:
Unit cell a=7.2084 b=7.2084 c=7.2085 alpha=119.55 beta=119.55 gamma=60.45
Positions (direct):
K 0.1328 0.1328 0.3671
K 0.8672 0.8672 0.6329
Ti 0.4975 0.5025 0.0000
Te 0.4972 0.0027 0.0001
Te 0.4973 0.5027 0.5000
Te 0.9973 0.5028 0.9999
O 0.1704 0.1762 0.9289
O 0.1705 0.5742 0.3266
O 0.1770 0.5697 0.9333
O 0.4258 0.8295 0.6734
O 0.4304 0.4364 0.6799
O 0.4303 0.8230 0.0667
O 0.5635 0.1828 0.9334
O 0.5636 0.5696 0.3201
O 0.5683 0.1761 0.3268
O 0.8172 0.4365 0.0666
O 0.8239 0.4317 0.6732
O 0.8238 0.8296 0.0711


No. 4
The following is a calculated powder diffractogram of RbNdCd2Cl8. It was derived from a DFT-relaxed cell (PBE, Alexandria), using Cu Ka.
Peak positions follow from Bragg's law for the DFT cell and can differ from measured ones.

Peak list (10 most intense, 2θ from 10° to 90°, low angle first)
| Position (°2θ) | intensity |
| --- | --- |
| 15.39 | 37.6 |
| 15.62 | 33.7 |
| 17.88 | 100.0 |
| 20.83 | 73.6 |
| 21.90 | 43.5 |
| 22.22 | 33.1 |
| 25.85 | 35.4 |
| 28.97 | 26.9 |
| 36.97 | 30.0 |
| 42.42 | 31.4 |

Structural model:
Unit cell a=6.6471 b=6.6740 c=9.3644 alpha=78.54 beta=79.84 gamma=79.63
Positions (direct):
Rb 0.0000 0.0000 0.0000
Nd 0.0000 0.0000 0.5000
Cd 0.4592 0.4468 0.2147
Cd 0.5408 0.5532 0.7853
Cl 0.1723 0.7313 0.7282
Cl 0.2265 0.7854 0.2868
Cl 0.2993 0.2481 0.4625
Cl 0.3576 0.3024 0.0102
Cl 0.6424 0.6976 0.9898
Cl 0.7007 0.7519 0.5375
Cl 0.7735 0.2146 0.7132
Cl 0.8277 0.2687 0.2718


No. 5
The following is a calculated powder diffractogram of Sc5Be3. It was derived from a DFT-relaxed cell (PBE, Alexandria), using Cu Ka.
Peak positions follow from Bragg's law for the DFT cell and can differ from measured ones.

Peak list (10 most intense, 2θ from 10° to 90°, low angle first)
| Position (°2θ) | intensity |
| --- | --- |
| 25.72 | 44.7 |
| 27.87 | 62.9 |
| 34.25 | 61.3 |
| 36.05 | 46.8 |
| 38.29 | 100.0 |
| 39.01 | 39.0 |
| 40.63 | 77.0 |
| 57.59 | 23.6 |
| 61.33 | 21.6 |
| 64.10 | 28.3 |

Structural model:
Unit cell a=7.9980 b=7.9980 c=5.3394 alpha=90.00 beta=90.00 gamma=120.00
Positions (direct):
Sc 0.0000 0.2427 0.2500
Sc 0.0000 0.7573 0.7500
Sc 0.2427 0.0000 0.2500
Sc 0.2427 0.2427 0.7500
Sc 0.3333 0.6667 0.0000
Sc 0.3333 0.6667 0.5000
Sc 0.6667 0.3333 0.0000
Sc 0.6667 0.3333 0.5000
Sc 0.7573 0.0000 0.7500
Sc 0.7573 0.7573 0.2500
Be 0.0000 0.4070 0.7500
Be 0.0000 0.5930 0.2500
Be 0.4070 0.0000 0.7500
Be 0.4070 0.4070 0.2500
Be 0.5930 0.0000 0.2500
Be 0.5930 0.5930 0.7500


No. 6
The following is a calculated powder diffractogram of Cu2H3ClO3. It was derived from a DFT-relaxed cell (PBE, Alexandria), using Cu Ka.
Peak positions follow from Bragg's law for the DFT cell and can differ from measured ones.

Peak list (10 most intense, 2θ from 10° to 90°, low angle first)
| Position (°2θ) | intensity |
| --- | --- |
| 15.93 | 43.9 |
| 16.08 | 92.5 |
| 19.07 | 22.2 |
| 30.43 | 24.0 |
| 32.01 | 46.0 |
| 32.21 | 100.0 |
| 32.50 | 21.7 |
| 38.70 | 22.7 |
| 39.54 | 81.2 |
| 52.53 | 31.4 |

Structural model:
Unit cell a=6.1763 b=6.9181 c=10.1202 alpha=90.00 beta=115.75 gamma=90.00
Positions (direct):
Cu 0.0000 0.0000 0.0000
Cu 0.0000 0.5000 0.5000
Cu 0.0079 0.2362 0.2510
Cu 0.0079 0.2638 0.7510
Cu 0.5000 0.0000 0.0000
Cu 0.5000 0.5000 0.5000
Cu 0.9921 0.7362 0.2490
Cu 0.9921 0.7638 0.7490
H 0.2690 0.7119 0.0261
H 0.2690 0.7881 0.5261
H 0.3020 0.1848 0.5153
H 0.3020 0.3152 0.0153
H 0.3192 0.5170 0.7666
H 0.3192 0.9830 0.2666
H 0.6808 0.0170 0.7334
H 0.6808 0.4830 0.2334
H 0.6980 0.6848 0.9847
H 0.6980 0.8152 0.4847
H 0.7310 0.2119 0.4739
H 0.7310 0.2881 0.9739
Cl 0.3199 0.5078 0.1785
Cl 0.3199 0.9922 0.6785
Cl 0.6801 0.0078 0.3215
Cl 0.6801 0.4922 0.8215
O 0.1395 0.5175 0.7202
O 0.1395 0.9825 0.2202
O 0.2208 0.6750 0.4572
O 0.2208 0.8250 0.9572
O 0.2637 0.2080 0.9437
O 0.2637 0.2920 0.4437
O 0.7363 0.7080 0.5563
O 0.7363 0.7920 0.0563
O 0.7792 0.1750 0.0428
O 0.7792 0.3250 0.5428
O 0.8605 0.0175 0.7798
O 0.8605 0.4825 0.2798